# 1
Starting from a cell relaxed with GGA-PBE, the X-ray powder pattern of Sr4Ta2O9 was calculated for Cu Ka.
No peak broadening, texture or thermal motion is included.

Main lines, in order of rising 2θ (2θ from 10° to 80°):
2θ/deg, I (rel.), index
21.21, 42, 1 1 1
29.54, 49, 2 0 2
29.98, 100, 1 1 -5
30.40, 95, 3 1 -3
30.77, 45, 0 2 0
43.21, 73, 4 0 -8
52.42, 18, 1 1 7
54.02, 21, 4 2 -8
54.22, 22, 1 3 -5
54.47, 22, 3 3 -3

Cell: 10.229 5.812 17.905 Å, 90.00 124.02 90.00°
Space group P2_1/c (No. 14)
Symmetry-distinct sites (fractional):
Sr 0.000 0.000 0.000 (multiplicity 2)
Sr 0.049 0.017 0.396 (multiplicity 4)
Sr 0.278 0.000 0.266 (multiplicity 4)
Sr 0.387 0.014 0.076 (multiplicity 4)
Sr 0.500 0.000 0.500 (multiplicity 2)
Ta 0.170 0.508 0.333 (multiplicity 4)
Ta 0.335 0.509 0.167 (multiplicity 4)
O 0.036 0.710 0.751 (multiplicity 4)
O 0.115 0.599 0.416 (multiplicity 4)
O 0.179 0.170 0.564 (multiplicity 4)
O 0.203 0.718 0.627 (multiplicity 4)
O 0.232 0.069 0.739 (multiplicity 4)
O 0.265 0.226 0.400 (multiplicity 4)
O 0.364 0.680 0.396 (multiplicity 4)
O 0.437 0.601 0.108 (multiplicity 4)
O 0.482 0.223 0.223 (multiplicity 4)

# 2
Starting from a cell relaxed with GGA-PBE, the X-ray powder pattern of Rb3Bi2 was calculated for Cu Ka.
No peak broadening, texture or thermal motion is included.

Main lines, in order of rising 2θ (2θ from 10° to 80°):
2θ/deg, I (rel.), index
14.10, 18, 1 1 -1
17.23, 79, 1 1 1
25.51, 58, 0 2 2
27.72, 27, 1 3 0
28.39, 100, 3 1 -1
29.99, 36, 2 0 2
30.13, 36, 1 3 1
35.02, 33, 3 1 -3
37.16, 22, 2 0 -4
46.75, 23, 5 1 -1

Cell: 9.919 10.257 9.938 Å, 90.00 106.22 90.00°
Space group C2/c (No. 15)
Symmetry-distinct sites (fractional):
Rb 0.000 0.167 0.250 (multiplicity 4)
Rb 0.207 0.453 0.975 (multiplicity 8)
Bi 0.095 0.213 0.658 (multiplicity 8)

# 3
Starting from a cell relaxed with GGA-PBE, the X-ray powder pattern of La6Al4Fe9P was calculated for Cu Ka.
No peak broadening, texture or thermal motion is included.

Main lines, in order of rising 2θ (2θ from 10° to 80°):
2θ/deg, I (rel.), index
24.79, 31, 2 1 1
27.05, 82, 2 1 3
31.13, 100, 2 2 0
34.91, 69, 3 1 0
36.48, 47, 2 1 7
37.85, 70, 2 0 8
38.23, 34, 3 1 4
46.21, 45, 4 1 1
50.20, 64, 4 2 0
57.47, 33, 3 3 8

Cell: 8.128 8.128 23.444 Å, 90.00 90.00 90.00°
Space group I4/mcm (No. 140)
Symmetry-distinct sites (fractional):
La 0.000 0.000 0.108 (multiplicity 8)
La 0.171 0.329 0.191 (multiplicity 16)
Al 0.119 0.381 0.407 (multiplicity 16)
Fe 0.000 0.500 0.000 (multiplicity 4)
Fe 0.068 0.210 0.500 (multiplicity 16)
Fe 0.176 0.324 0.056 (multiplicity 16)
P 0.000 0.000 0.250 (multiplicity 4)

# 4
Starting from a cell relaxed with GGA-PBE, the X-ray powder pattern of Al8Fe5 was calculated for Cu Ka.
No peak broadening, texture or thermal motion is included.

Main lines, in order of rising 2θ (2θ from 10° to 80°):
2θ/deg, I (rel.), index
24.74, 21, 2 1 1
43.56, 100, 3 3 0
48.44, 3, 3 3 2
50.74, 6, 4 2 2
63.30, 11, 6 0 0
65.25, 3, 5 3 2
72.76, 1, 6 3 1
74.59, 4, 4 4 4
76.40, 3, 5 5 0
79.98, 20, 6 3 3

Cell: 8.815 8.815 8.815 Å, 90.00 90.00 90.00°
Space group I-43m (No. 217)
Symmetry-distinct sites (fractional):
Al 0.038 0.311 0.689 (multiplicity 24)
Al 0.106 0.106 0.894 (multiplicity 8)
Fe 0.000 0.000 0.360 (multiplicity 12)
Fe 0.169 0.169 0.169 (multiplicity 8)

# 5
Starting from a cell relaxed with GGA-PBE, the X-ray powder pattern of CsSrSiHO4 was calculated for Cu Ka.
No peak broadening, texture or thermal motion is included.

Main lines, in order of rising 2θ (2θ from 10° to 80°):
2θ/deg, I (rel.), index
20.34, 100, 1 1 -1
26.73, 86, 0 2 1
27.69, 92, 1 2 0
28.20, 50, 1 0 1
30.36, 37, 1 1 -2
30.94, 55, 2 0 -1
33.50, 51, 0 1 2
37.04, 49, 1 3 -1
41.39, 32, 2 2 -2
53.00, 46, 3 2 -1

Cell: 5.780 8.259 6.339 Å, 90.00 116.87 90.00°
Space group P2_1 (No. 4)
Symmetry-distinct sites (fractional):
Cs 0.150 0.000 0.384 (multiplicity 2)
Sr 0.471 0.747 0.901 (multiplicity 2)
Si 0.160 0.565 0.240 (multiplicity 2)
H 0.022 0.310 0.088 (multiplicity 2)
O 0.006 0.886 0.794 (multiplicity 2)
O 0.066 0.196 0.922 (multiplicity 2)
O 0.301 0.617 0.519 (multiplicity 2)
O 0.365 0.536 0.128 (multiplicity 2)

# 6
Starting from a cell relaxed with GGA-PBE, the X-ray powder pattern of Er2AlCo3 was calculated for Cu Ka.
No peak broadening, texture or thermal motion is included.

Main lines, in order of rising 2θ (2θ from 10° to 80°):
2θ/deg, I (rel.), index
20.84, 45, 1 0 1
33.88, 65, 1 1 0
36.69, 79, 1 0 4
40.12, 69, 0 2 1
41.36, 100, 1 1 3
43.76, 30, 0 1 5
62.47, 33, 2 1 4
65.74, 25, 3 0 3
71.29, 24, 2 2 0
78.02, 18, 2 0 8

Cell: 5.2913 5.2913 11.5926 Å, 90.00 90.00 120.00°
Space group R-3m (No. 166, hexagonal axes)
Symmetry-distinct sites (fractional):
Er 0.0000 0.0000 0.1295 (multiplicity 6)
Al 0.0000 0.0000 0.5000 (multiplicity 3)
Co 0.0000 0.5000 0.0000 (multiplicity 9)

# 7
Starting from a cell relaxed with GGA-PBE, the X-ray powder pattern of ZrB4H16 was calculated for Cu Ka.
No peak broadening, texture or thermal motion is included.

Main lines, in order of rising 2θ (2θ from 10° to 80°):
2θ/deg, I (rel.), index
14.11, 100, 1 0 0
20.00, 73, 1 1 0
24.56, 32, 1 1 1
31.87, 31, 2 1 0
35.01, 30, 2 1 1
40.64, 15, 2 2 0
43.23, 24, 2 2 1
45.69, 13, 3 1 0
48.06, 13, 3 1 1
54.70, 19, 3 2 1

Cell: 6.279 6.279 6.279 Å, 90.00 90.00 90.00°
Space group P-43m (No. 215)
Symmetry-distinct sites (fractional):
Zr 0.000 0.000 0.000 (multiplicity 1)
B 0.214 0.214 0.786 (multiplicity 4)
H 0.019 0.244 0.756 (multiplicity 12)
H 0.324 0.324 0.676 (multiplicity 4)